Diffraction record for MnCoNiGe. The powder diffractogram is calculated, not measured: it uses a DFT-relaxed cell (GGA-PBE, Alexandria) and Cu Kα.

Principal peaks in the range 10° ≤ 2θ ≤ 80°, sorted by position:
27.08°, intensity 19, (1 0 1); 43.34°, intensity 1000, (1 1 2); 47.42°, intensity 5, (1 0 3); 48.06°, intensity 364, (2 0 0); 55.08°, intensity 118, (0 0 4); 56.04°, intensity 7, (2 1 1); 70.33°, intensity 108, (2 2 0); 76.07°, intensity 170, (2 0 4)

Cell and atoms:
Unit cell a=3.7860 b=3.7860 c=6.6696 alpha=90.00 beta=90.00 gamma=90.00
Space group I-4m2 (No. 119)
Symmetry-distinct sites (fractional):
Mn (0.0000, 0.0000, 0.0000)
Co (0.0000, 0.5000, 0.7500)
Ni (0.0000, 0.5000, 0.2500)
Ge (0.0000, 0.0000, 0.5000)

Diffraction record for Y5Er3Tm2. The powder diffractogram is calculated, not measured: it uses a DFT-relaxed cell (GGA-PBE, Alexandria) and Cu Kα.

Principal peaks in the range 10° ≤ 2θ ≤ 80°, sorted by position:
20.08°, intensity 220, (2 2 -1); 30.41°, intensity 655, (2 4 0); 30.78°, intensity 1000, (2 2 1); 32.41°, intensity 296, (0 4 2); 33.64°, intensity 425, (4 0 -2); 38.02°, intensity 268, (2 6 -1); 38.92°, intensity 203, (2 0 2); 47.41°, intensity 212, (4 4 0); 61.19°, intensity 219, (4 6 1); 67.53°, intensity 183, (2 4 4)

Cell and atoms:
Unit cell a=10.6562 b=15.8494 c=9.3695 alpha=90.00 beta=124.65 gamma=90.00
Space group C2/c (No. 15)
Symmetry-distinct sites (fractional):
Y (0.0000, 0.0193, 0.2500)
Y (0.0000, 0.2192, 0.2500)
Y (0.0000, 0.4805, 0.7500)
Y (0.2491, 0.1408, 0.7499)
Er (0.0000, 0.2816, 0.7500)
Er (0.1474, 0.3691, 0.5466)
Tm (0.1489, 0.1326, 0.0459)

Diffraction record for Ba12Pd6Pt. The powder diffractogram is calculated, not measured: it uses a DFT-relaxed cell (GGA-PBE, Alexandria) and Cu Kα.

Principal peaks in the range 10° ≤ 2θ ≤ 80°, sorted by position:
20.04°, intensity 682, (2 1 1); 23.14°, intensity 459, (1 2 2); 27.59°, intensity 284, (1 0 4); 29.15°, intensity 527, (3 1 2); 32.85°, intensity 888, (2 1 4); 33.05°, intensity 1000, (1 4 0); 38.91°, intensity 269, (2 4 1); 46.49°, intensity 208, (7 -4 2); 47.29°, intensity 210, (6 -4 4); 48.00°, intensity 188, (4 -2 6)

Cell and atoms:
Unit cell a=14.3424 b=14.3424 c=13.3963 alpha=90.00 beta=90.00 gamma=120.00
Space group R-3 (No. 148, hexagonal axes)
Symmetry-distinct sites (fractional):
Ba (0.0235, 0.2127, 0.3916)
Ba (0.0333, 0.2004, 0.8800)
Pd (0.0428, 0.2641, 0.6458)
Pt (0.0000, 0.0000, 0.0000)

Diffraction record for ZrCu23Pd6. The powder diffractogram is calculated, not measured: it uses a DFT-relaxed cell (GGA-PBE, Alexandria) and Cu Kα.

Principal peaks in the range 10° ≤ 2θ ≤ 80°, sorted by position:
21.52°, intensity 29, (2 2 0); 34.33°, intensity 132, (4 2 0); 37.72°, intensity 38, (4 2 2); 40.11°, intensity 67, (3 3 3); 43.84°, intensity 1000, (4 4 0); 46.65°, intensity 53, (6 0 0); 49.34°, intensity 28, (6 2 0); 63.73°, intensity 128, (8 0 0); 65.94°, intensity 45, (6 4 4); 78.03°, intensity 29, (9 3 1)

Cell and atoms:
Unit cell a=11.6819 b=11.6819 c=11.6819 alpha=90.00 beta=90.00 gamma=90.00
Space group Fm-3m (No. 225)
Symmetry-distinct sites (fractional):
Zr (0.0000, 0.0000, 0.0000)
Cu (0.0000, 0.0000, 0.5000)
Cu (0.0000, 0.2500, 0.2500)
Cu (0.1278, 0.1278, 0.3722)
Cu (0.1486, 0.1486, 0.1486)
Pd (0.0000, 0.0000, 0.2396)